No. 1
This entry pairs a crystal structure of Ca5Y3Ti5Mn3O24 with its computed powder diffractogram. Radiation: Cu Kα (weighted mean of Kα1 and Kα2). Structure: the GGA+U geometry in the Materials Project.
Kinematic intensities with the Lorentz-polarization factor, no thermal factor.

Cell and atoms:
Cell: 5.3888 5.6196 15.2874 Å, 90.10 90.16 90.49°
Space group P1 (No. 1)
Unique sites:
Ca 0.0000 0.0000 0.0000 x1
Ca 0.9999 0.0063 0.5041 x1
Ca 0.4779 0.5019 0.9998 x1
Ca 0.4978 0.4025 0.2487 x1
Ca 0.9783 0.9028 0.2485 x1
Y 0.4724 0.5173 0.5049 x1
Y 0.5038 0.3793 0.7503 x1
Y 0.9671 0.8791 0.7507 x1
Ti 0.9997 0.4519 0.1243 x1
Ti 0.4923 0.9712 0.3771 x1
Ti 0.5011 0.9460 0.1254 x1
Ti 0.9788 0.4655 0.3769 x1
Ti 0.9947 0.4456 0.8772 x1
Mn 0.4806 0.9441 0.8762 x1
Mn 0.4840 0.9496 0.6265 x1
Mn 0.9895 0.4451 0.6260 x1
O 0.0656 0.4699 0.2521 x1
O 0.0952 0.4811 0.7510 x1
O 0.1744 0.7484 0.8971 x1
O 0.1898 0.7369 0.1050 x1
O 0.1971 0.7301 0.4022 x1
O 0.1994 0.7560 0.6014 x1
O 0.2722 0.2418 0.1054 x1
O 0.2811 0.2658 0.8966 x1
O 0.2888 0.2668 0.6030 x1
O 0.2914 0.2433 0.4033 x1
O 0.3785 0.9792 0.7542 x1
O 0.4030 0.9708 0.2527 x1
O 0.5675 0.9234 0.0011 x1
O 0.5792 0.9153 0.4984 x1
O 0.6920 0.6636 0.1479 x1
O 0.6944 0.6494 0.3563 x1
O 0.6959 0.6340 0.6515 x1
O 0.6996 0.6373 0.8439 x1
O 0.7710 0.1588 0.1479 x1
O 0.7766 0.1358 0.6560 x1
O 0.7831 0.1511 0.3539 x1
O 0.7873 0.1513 0.8471 x1
O 0.8840 0.4193 0.4997 x1
O 0.8995 0.4227 0.0013 x1

Principal peaks in the range 2θ = 15–90°, by intensity:
2θ 32.8, I 100; 2θ 32.9, I 52; 2θ 33.0, I 48; 2θ 33.3, I 46; 2θ 31.9, I 46; 2θ 47.6, I 38; 2θ 46.9, I 32; 2θ 46.5, I 31; 2θ 59.4, I 24; 2θ 59.2, I 24



No. 2
This entry pairs a crystal structure of CaTmMn2O6 with its computed powder diffractogram. Radiation: Cu Kα (weighted mean of Kα1 and Kα2). Structure: the GGA+U geometry in the Materials Project.
Kinematic intensities with the Lorentz-polarization factor, no thermal factor.

Cell and atoms:
Cell: 7.5431 5.5519 5.3127 Å, 90.00 90.00 90.00°
Space group Pmn2_1 (No. 31)
Unique sites:
Ca 0.0000 0.1947 0.0000 x2
Tm 0.0000 0.6803 0.4696 x2
Mn 0.2502 0.2451 0.4880 x4
O 0.0000 0.2866 0.5758 x2
O 0.0000 0.7783 0.8777 x2
O 0.1970 0.9422 0.2978 x4
O 0.2015 0.4596 0.1957 x4

Principal peaks in the range 2θ = 15–90°, by intensity:
2θ 33.3, I 100; 2θ 20.4, I 37; 2θ 19.9, I 31; 2θ 33.7, I 25; 2θ 60.1, I 23; 2θ 47.4, I 22; 2θ 32.2, I 19; 2θ 26.0, I 18; 2θ 48.3, I 16; 2θ 53.8, I 16